[1]
Starting from a structure optimized by DFT (GGA-PBE), the powder diffractogram of Hg4BS5 was computed for copper Kα.

Lattice parameters (Å, degrees): 6.668 6.668 6.668 101.44 101.44 127.10
Atoms (fractional coordinates):
Hg1 0.107 0.712 0.819
Hg2 0.288 0.107 0.396
Hg3 0.712 0.893 0.604
Hg4 0.893 0.288 0.181
B1 0.489 0.489 0.000
S1 0.160 0.160 0.000
S2 0.319 0.515 0.701
S3 0.515 0.814 0.196
S4 0.618 0.319 0.804
S5 0.814 0.618 0.299

Largest 8 diffraction maxima, low angle first, 10° ≤ 2θ ≤ 90°:
| Position (°2θ) | I_rel |
| --- | --- |
| 28.00 | 100 |
| 30.09 | 32 |
| 33.57 | 55 |
| 45.69 | 41 |
| 52.16 | 24 |
| 56.67 | 30 |
| 57.87 | 16 |
| 73.74 | 16 |

=====

[2]
Starting from a structure optimized by DFT (GGA-PBE), the powder diffractogram of Cs3Na2PuI9 was computed for copper Kα.

Lattice parameters (Å, degrees): 8.853 8.853 10.827 90.00 90.00 120.00
Atoms (fractional coordinates):
Cs1 0.000 0.000 0.000
Cs2 0.333 0.667 0.723
Cs3 0.667 0.333 0.277
Na1 0.333 0.667 0.152
Na2 0.667 0.333 0.848
Pu1 0.000 0.000 0.500
I1 0.000 0.500 0.000
I2 0.161 0.321 0.340
I3 0.161 0.839 0.340
I4 0.321 0.161 0.660
I5 0.500 0.000 0.000
I6 0.500 0.500 0.000
I7 0.679 0.839 0.340
I8 0.839 0.161 0.660
I9 0.839 0.679 0.660

Largest 8 diffraction maxima, low angle first, 10° ≤ 2θ ≤ 90°:
| Position (°2θ) | I_rel |
| --- | --- |
| 14.16 | 31 |
| 20.07 | 21 |
| 24.64 | 92 |
| 28.53 | 100 |
| 40.79 | 69 |
| 48.24 | 35 |
| 50.53 | 24 |
| 66.87 | 27 |

=====

[3]
Starting from a structure optimized by DFT (GGA-PBE), the powder diffractogram of Tb5DyMg was computed for copper Kα.

Lattice parameters (Å, degrees): 6.588 6.588 13.184 94.85 94.85 49.23
Atoms (fractional coordinates):
Tb1 0.065 0.065 0.133
Tb2 0.065 0.065 0.633
Tb3 0.242 0.242 0.426
Tb4 0.242 0.242 0.926
Tb5 0.364 0.364 0.696
Tb6 0.636 0.636 0.304
Tb7 0.758 0.758 0.074
Tb8 0.758 0.758 0.574
Tb9 0.935 0.935 0.367
Tb10 0.935 0.935 0.867
Dy1 0.364 0.364 0.196
Dy2 0.636 0.636 0.804
Mg1 0.500 0.500 0.000
Mg2 0.500 0.500 0.500

Largest 8 diffraction maxima, low angle first, 10° ≤ 2θ ≤ 90°:
| Position (°2θ) | I_rel |
| --- | --- |
| 29.98 | 14 |
| 31.84 | 100 |
| 32.06 | 67 |
| 32.63 | 36 |
| 46.20 | 22 |
| 57.08 | 15 |
| 57.75 | 13 |
| 57.88 | 13 |

=====

[4]
Starting from a structure optimized by DFT (GGA-PBE), the powder diffractogram of Ti4Ga4Au3 was computed for copper Kα.

Lattice parameters (Å, degrees): 8.012 2.826 9.117 90.00 110.40 90.00
Atoms (fractional coordinates):
Ti1 0.052 0.000 0.223
Ti2 0.445 0.000 0.261
Ti3 0.555 0.000 0.739
Ti4 0.948 0.000 0.777
Ga1 0.182 0.500 0.027
Ga2 0.222 0.500 0.724
Ga3 0.778 0.500 0.276
Ga4 0.818 0.500 0.973
Au1 0.308 0.500 0.466
Au2 0.500 0.500 0.000
Au3 0.692 0.500 0.534

Largest 8 diffraction maxima, low angle first, 10° ≤ 2θ ≤ 90°:
| Position (°2θ) | I_rel |
| --- | --- |
| 11.78 | 89 |
| 20.79 | 55 |
| 31.66 | 73 |
| 38.18 | 100 |
| 38.74 | 99 |
| 40.95 | 60 |
| 42.31 | 57 |
| 46.85 | 59 |

=====

[5]
Starting from a structure optimized by DFT (GGA-PBE), the powder diffractogram of SrCaSnBi2 was computed for copper Kα.

Lattice parameters (Å, degrees): 8.946 8.946 6.142 90.00 90.00 135.21
Atoms (fractional coordinates):
Sr1 0.250 0.750 0.780
Sr2 0.750 0.250 0.220
Ca1 0.250 0.250 0.500
Ca2 0.750 0.750 0.500
Sn1 0.000 0.000 0.000
Sn2 0.500 0.500 0.000
Bi1 0.155 0.845 0.280
Bi2 0.345 0.655 0.280
Bi3 0.655 0.345 0.720
Bi4 0.845 0.155 0.720

Largest 8 diffraction maxima, low angle first, 10° ≤ 2θ ≤ 90°:
| Position (°2θ) | I_rel |
| --- | --- |
| 20.19 | 88 |
| 25.33 | 26 |
| 26.14 | 66 |
| 31.07 | 39 |
| 32.46 | 35 |
| 33.45 | 100 |
| 41.04 | 23 |
| 50.97 | 31 |

=====

[6]
Starting from a structure optimized by DFT (GGA-PBE), the powder diffractogram of CeMnRh was computed for copper Kα.

Lattice parameters (Å, degrees): 5.200 5.545 7.378 90.00 90.00 90.00
Atoms (fractional coordinates):
Ce1 0.000 0.250 0.127
Ce2 0.000 0.750 0.873
Ce3 0.500 0.250 0.373
Ce4 0.500 0.750 0.627
Mn1 0.250 0.250 0.750
Mn2 0.250 0.750 0.250
Mn3 0.750 0.250 0.750
Mn4 0.750 0.750 0.250
Rh1 0.000 0.000 0.500
Rh2 0.000 0.500 0.500
Rh3 0.500 0.000 0.000
Rh4 0.500 0.500 0.000

Largest 8 diffraction maxima, low angle first, 10° ≤ 2θ ≤ 90°:
| Position (°2θ) | I_rel |
| --- | --- |
| 33.90 | 68 |
| 34.50 | 30 |
| 38.78 | 100 |
| 40.11 | 25 |
| 40.21 | 53 |
| 40.58 | 46 |
| 40.71 | 28 |
| 71.33 | 35 |

=====

[7]
Starting from a structure optimized by DFT (GGA-PBE), the powder diffractogram of Li2HoGa2 was computed for copper Kα.

Lattice parameters (Å, degrees): 3.355 4.548 12.517 90.00 90.00 90.00
Atoms (fractional coordinates):
Li1 0.250 0.250 0.020
Li2 0.250 0.750 0.365
Li3 0.750 0.250 0.635
Li4 0.750 0.750 0.980
Ho1 0.250 0.750 0.751
Ho2 0.750 0.250 0.249
Ga1 0.250 0.250 0.463
Ga2 0.250 0.750 0.154
Ga3 0.750 0.250 0.846
Ga4 0.750 0.750 0.537

Largest 8 diffraction maxima, low angle first, 10° ≤ 2θ ≤ 90°:
| Position (°2θ) | I_rel |
| --- | --- |
| 14.15 | 50 |
| 20.78 | 40 |
| 34.30 | 46 |
| 36.23 | 100 |
| 39.63 | 29 |
| 41.16 | 50 |
| 53.39 | 26 |
| 69.68 | 25 |

=====

[8]
Starting from a structure optimized by DFT (GGA-PBE), the powder diffractogram of ZrIn5 was computed for copper Kα.

Lattice parameters (Å, degrees): 5.589 5.589 5.550 90.00 90.00 120.00
Atoms (fractional coordinates):
Zr1 0.000 0.000 0.000
In1 0.000 0.677 0.500
In2 0.323 0.323 0.500
In3 0.333 0.667 0.000
In4 0.667 0.333 0.000
In5 0.677 0.000 0.500

Largest 8 diffraction maxima, low angle first, 10° ≤ 2θ ≤ 90°:
| Position (°2θ) | I_rel |
| --- | --- |
| 32.03 | 23 |
| 32.26 | 30 |
| 35.98 | 100 |
| 46.09 | 16 |
| 57.09 | 17 |
| 59.96 | 22 |
| 67.10 | 20 |
| 69.35 | 14 |

=====

[9]
Starting from a structure optimized by DFT (GGA-PBE), the powder diffractogram of RbPbSe2O8 was computed for copper Kα.

Lattice parameters (Å, degrees): 9.387 9.387 9.387 33.20 33.20 33.20
Atoms (fractional coordinates):
Rb1 0.000 0.000 0.000
Pb1 0.500 0.500 0.500
Se1 0.243 0.243 0.243
Se2 0.757 0.757 0.757
O1 0.074 0.479 0.783
O2 0.217 0.926 0.521
O3 0.305 0.305 0.305
O4 0.479 0.783 0.074
O5 0.521 0.217 0.926
O6 0.695 0.695 0.695
O7 0.783 0.074 0.479
O8 0.926 0.521 0.217

Largest 8 diffraction maxima, low angle first, 10° ≤ 2θ ≤ 90°:
| Position (°2θ) | I_rel |
| --- | --- |
| 23.37 | 100 |
| 33.15 | 32 |
| 33.42 | 35 |
| 41.18 | 20 |
| 47.78 | 11 |
| 53.67 | 18 |
| 54.03 | 19 |
| 59.56 | 12 |

=====

[10]
Starting from a structure optimized by DFT (GGA-PBE), the powder diffractogram of K2MgZn4P4H2O16 was computed for copper Kα.

Lattice parameters (Å, degrees): 5.079 8.721 10.005 95.51 93.63 102.46
Atoms (fractional coordinates):
K1 0.151 0.307 0.333
K2 0.849 0.693 0.667
Mg1 0.000 0.500 0.000
Zn1 0.208 0.369 0.741
Zn2 0.226 0.895 0.135
Zn3 0.774 0.105 0.865
Zn4 0.792 0.631 0.259
P1 0.358 0.242 0.011
P2 0.363 0.768 0.416
P3 0.637 0.232 0.584
P4 0.642 0.758 0.989
H1 0.453 0.931 0.609
H2 0.547 0.069 0.391
O1 0.134 0.623 0.373
O2 0.179 0.178 0.873
O3 0.270 0.388 0.076
O4 0.322 0.115 0.109
O5 0.328 0.826 0.570
O6 0.338 0.719 0.025
O7 0.346 0.907 0.332
O8 0.358 0.274 0.584
O9 0.642 0.726 0.416
O10 0.654 0.093 0.668
O11 0.662 0.281 0.975
O12 0.672 0.174 0.430
O13 0.678 0.885 0.891
O14 0.730 0.612 0.924
O15 0.821 0.822 0.127
O16 0.866 0.377 0.627

Largest 8 diffraction maxima, low angle first, 10° ≤ 2θ ≤ 90°:
| Position (°2θ) | I_rel |
| --- | --- |
| 12.96 | 34 |
| 14.50 | 100 |
| 20.55 | 43 |
| 21.00 | 42 |
| 26.22 | 47 |
| 30.74 | 60 |
| 30.95 | 61 |
| 36.37 | 34 |

=====

[11]
Starting from a structure optimized by DFT (GGA-PBE), the powder diffractogram of SrInAg2Ge was computed for copper Kα.

Lattice parameters (Å, degrees): 4.402 4.569 11.926 90.00 90.00 90.00
Atoms (fractional coordinates):
Sr1 0.000 0.000 0.000
Sr2 0.500 0.500 0.500
In1 0.000 0.500 0.753
In2 0.500 0.000 0.253
Ag1 0.000 0.000 0.613
Ag2 0.000 0.500 0.273
Ag3 0.500 0.000 0.773
Ag4 0.500 0.500 0.113
Ge1 0.000 0.000 0.397
Ge2 0.500 0.500 0.897

Largest 8 diffraction maxima, low angle first, 10° ≤ 2θ ≤ 90°:
| Position (°2θ) | I_rel |
| --- | --- |
| 30.29 | 21 |
| 31.97 | 100 |
| 39.44 | 28 |
| 41.00 | 25 |
| 41.58 | 35 |
| 42.77 | 20 |
| 58.20 | 17 |
| 60.74 | 13 |

=====

[12]
Starting from a structure optimized by DFT (GGA-PBE), the powder diffractogram of Ce2Dy2Tl5 was computed for copper Kα.

Lattice parameters (Å, degrees): 10.788 10.788 10.788 61.53 130.19 146.24
Atoms (fractional coordinates):
Ce1 0.000 0.000 0.000
Ce2 0.000 0.500 0.500
Ce3 0.190 0.251 0.439
Ce4 0.812 0.751 0.561
Dy1 0.423 0.579 0.003
Dy2 0.423 0.920 0.344
Dy3 0.577 0.079 0.656
Dy4 0.577 0.420 0.997
Tl1 0.001 0.163 0.663
Tl2 0.001 0.838 0.338
Tl3 0.127 0.664 0.793
Tl4 0.127 0.834 0.963
Tl5 0.450 0.749 0.201
Tl6 0.500 0.338 0.337
Tl7 0.500 0.663 0.662
Tl8 0.548 0.249 0.799
Tl9 0.871 0.164 0.037
Tl10 0.871 0.334 0.207

Largest 8 diffraction maxima, low angle first, 10° ≤ 2θ ≤ 90°:
| Position (°2θ) | I_rel |
| --- | --- |
| 28.50 | 33 |
| 29.89 | 59 |
| 30.57 | 36 |
| 33.56 | 53 |
| 33.82 | 92 |
| 34.32 | 100 |
| 34.79 | 36 |
| 54.28 | 39 |